(1)
Structure and computed PXRD pattern of MgCu5O8 (a GGA-PBE-relaxed structure; Cu Kα (weighted mean of Kα1 and Kα2)).

Crystal structure
Lattice parameters (Å, degrees): 5.9174 5.9174 5.9174 60.00 60.00 60.00
Atoms (fractional coordinates):
Mg 0.0000 0.0000 0.0000
Cu 0.3748 0.3748 0.3748
Cu 0.3748 0.3748 0.8757
Cu 0.3748 0.8757 0.3748
Cu 0.7500 0.7500 0.7500
Cu 0.8757 0.3748 0.3748
O 0.1364 0.1364 0.1364
O 0.1364 0.1364 0.5907
O 0.1364 0.5907 0.1364
O 0.1544 0.6152 0.6152
O 0.5907 0.1364 0.1364
O 0.6152 0.1544 0.6152
O 0.6152 0.6152 0.1544
O 0.6152 0.6152 0.6152

Peak list (8 most intense, 10 to 80 degrees two-theta, in order of falling intensity)
two_theta  I_rel
35.58  100
62.81  46
57.20  37
18.36  35
43.24  31
30.21  18
37.22  17
74.33  10

---

(2)
Structure and computed PXRD pattern of MgCu2O4 (a GGA-PBE-relaxed structure; Cu Kα (weighted mean of Kα1 and Kα2)).

Crystal structure
Lattice parameters (Å, degrees): 5.8972 5.8972 5.8972 60.58 60.58 60.58
Atoms (fractional coordinates):
Mg 0.0000 0.0000 0.0000
Mg 0.3873 0.3873 0.3873
Cu 0.0009 0.0009 0.4979
Cu 0.0009 0.4979 0.0009
Cu 0.4979 0.0009 0.0009
Cu 0.6183 0.6183 0.6183
O 0.2108 0.7514 0.7514
O 0.2430 0.2430 0.7936
O 0.2430 0.7936 0.2430
O 0.2490 0.2490 0.2490
O 0.7490 0.7490 0.7490
O 0.7514 0.2108 0.7514
O 0.7514 0.7514 0.2108
O 0.7936 0.2430 0.2430

Peak list (8 most intense, 10 to 80 degrees two-theta, in order of falling intensity)
two_theta  I_rel
35.40  100
35.52  83
18.51  63
43.21  61
62.45  52
30.31  48
63.06  47
35.75  39

---

(3)
Structure and computed PXRD pattern of Mg7Cu17O24 (a GGA-PBE-relaxed structure; Cu Kα (weighted mean of Kα1 and Kα2)).

Crystal structure
Lattice parameters (Å, degrees): 6.4836 9.4936 8.0860 90.00 90.02 90.00
Atoms (fractional coordinates):
Mg 0.0000 0.0000 0.0000
Mg 0.0002 0.0000 0.4979
Mg 0.3867 0.5000 0.2491
Mg 0.5002 0.0000 0.4995
Mg 0.5001 0.0000 0.9985
Mg 0.8818 0.5000 0.7488
Mg 0.8867 0.5000 0.2488
Cu 0.1134 0.3363 0.9984
Cu 0.1134 0.6637 0.9984
Cu 0.1142 0.3365 0.4995
Cu 0.1142 0.6635 0.4995
Cu 0.2694 0.1620 0.7490
Cu 0.2694 0.8380 0.7490
Cu 0.2711 0.1637 0.2489
Cu 0.2711 0.8363 0.2489
Cu 0.3791 0.5000 0.7495
Cu 0.6141 0.3360 0.9976
Cu 0.6141 0.6640 0.9976
Cu 0.6154 0.3362 0.4996
Cu 0.6154 0.6638 0.4996
Cu 0.7703 0.1639 0.2488
Cu 0.7703 0.8361 0.2488
Cu 0.7787 0.1634 0.7489
Cu 0.7787 0.8366 0.7489
O 0.1278 0.3419 0.7489
O 0.1278 0.6581 0.7489
O 0.1426 0.3489 0.2489
O 0.1426 0.6511 0.2489
O 0.2455 0.1525 0.9989
O 0.2455 0.8475 0.9989
O 0.2456 0.1525 0.4990
O 0.2456 0.8475 0.4990
O 0.4433 0.5000 0.9935
O 0.4444 0.0000 0.2490
O 0.4442 0.5000 0.5048
O 0.4448 0.0000 0.7490
O 0.6386 0.3491 0.2492
O 0.6386 0.6509 0.2492
O 0.6427 0.3428 0.7483
O 0.6427 0.6572 0.7483
O 0.7459 0.1522 0.5003
O 0.7456 0.1523 0.9976
O 0.7459 0.8478 0.5003
O 0.7456 0.8477 0.9976
O 0.9412 0.5000 0.4992
O 0.9407 0.5000 0.9985
O 0.9440 0.0000 0.2489
O 0.9504 0.0000 0.7489

Peak list (8 most intense, 10 to 80 degrees two-theta, in order of falling intensity)
two_theta  I_rel
39.81  100
36.04  79
35.49  76
44.84  67
33.47  47
58.32  26
29.11  25
76.46  25

---

(4)
Structure and computed PXRD pattern of MgCu2O4 (a GGA-PBE-relaxed structure; Cu Kα (weighted mean of Kα1 and Kα2)).

Crystal structure
Lattice parameters (Å, degrees): 5.9527 5.9527 14.4171 90.00 90.00 120.00
Atoms (fractional coordinates):
Mg 0.0000 0.0000 0.0000
Mg 0.0000 0.0000 0.2395
Mg 0.0000 0.0000 0.6189
Mg 0.3333 0.6667 0.3326
Mg 0.3333 0.6667 0.9521
Mg 0.6667 0.3333 0.6684
Cu 0.0013 0.5007 0.1173
Cu 0.1658 0.3315 0.7845
Cu 0.1658 0.8342 0.7845
Cu 0.3333 0.6667 0.5715
Cu 0.3342 0.1671 0.4520
Cu 0.4993 0.5007 0.1173
Cu 0.4993 0.9987 0.1173
Cu 0.6667 0.3333 0.2835
Cu 0.6667 0.3333 0.9023
Cu 0.6685 0.8342 0.7845
Cu 0.8329 0.1671 0.4520
Cu 0.8329 0.6658 0.4520
O 0.0000 0.0000 0.3782
O 0.0000 0.0000 0.8630
O 0.0271 0.5135 0.8570
O 0.1560 0.3119 0.5271
O 0.1560 0.8440 0.5271
O 0.1811 0.3621 0.0434
O 0.1811 0.8189 0.0434
O 0.3024 0.1512 0.7104
O 0.3333 0.6667 0.1954
O 0.3333 0.6667 0.7032
O 0.3670 0.1835 0.1943
O 0.4865 0.5135 0.8570
O 0.4865 0.9729 0.8570
O 0.5174 0.0348 0.3721
O 0.5174 0.4826 0.3721
O 0.6379 0.8189 0.0434
O 0.6667 0.3333 0.0353
O 0.6667 0.3333 0.5276
O 0.6881 0.8440 0.5271
O 0.8165 0.1835 0.1943
O 0.8165 0.6330 0.1943
O 0.8488 0.1512 0.7104
O 0.8488 0.6976 0.7104
O 0.9652 0.4826 0.3721

Peak list (8 most intense, 10 to 80 degrees two-theta, in order of falling intensity)
two_theta  I_rel
35.48  100
35.38  95
43.15  90
18.46  62
62.40  61
62.93  58
35.68  51
18.28  49

---

(5)
Structure and computed PXRD pattern of MgCu2O4 (a GGA-PBE-relaxed structure; Cu Kα (weighted mean of Kα1 and Kα2)).

Crystal structure
Lattice parameters (Å, degrees): 3.1007 10.0254 9.1591 90.00 90.00 90.00
Atoms (fractional coordinates):
Mg 0.1139 0.1518 0.2500
Mg 0.1139 0.3482 0.7500
Mg 0.8861 0.6518 0.2500
Mg 0.8861 0.8482 0.7500
Cu 0.3564 0.6151 0.5701
Cu 0.3564 0.6151 0.9299
Cu 0.3564 0.8849 0.0701
Cu 0.3564 0.8849 0.4299
Cu 0.6436 0.1151 0.5701
Cu 0.6436 0.1151 0.9299
Cu 0.6436 0.3849 0.0701
Cu 0.6436 0.3849 0.4299
O 0.0112 0.7500 0.0000
O 0.0112 0.7500 0.5000
O 0.3756 0.5457 0.1176
O 0.3756 0.5457 0.3824
O 0.3756 0.9543 0.6176
O 0.3756 0.9543 0.8824
O 0.3812 0.7019 0.7500
O 0.3812 0.7981 0.2500
O 0.6188 0.2019 0.7500
O 0.6188 0.2981 0.2500
O 0.6244 0.0457 0.1176
O 0.6244 0.0457 0.3824
O 0.6244 0.4543 0.6176
O 0.6244 0.4543 0.8824
O 0.9888 0.2500 0.0000
O 0.9888 0.2500 0.5000

Peak list (8 most intense, 10 to 80 degrees two-theta, in order of falling intensity)
two_theta  I_rel
34.39  100
19.38  50
30.17  48
35.83  35
28.79  34
39.65  33
35.42  29
50.91  26

---

(6)
Structure and computed PXRD pattern of MgCu2P2O8 (a GGA-PBE-relaxed structure; Cu Kα (weighted mean of Kα1 and Kα2)).

Crystal structure
Lattice parameters (Å, degrees): 4.9051 5.3842 6.3756 72.30 87.43 68.63
Atoms (fractional coordinates):
Mg 0.0000 0.0000 0.0000
Cu 0.4389 0.5265 0.3767
Cu 0.7111 0.7448 0.6929
P 0.0739 0.0849 0.4742
P 0.3568 0.3949 0.9188
O 0.0512 0.3875 0.8678
O 0.1036 0.8897 0.3287
O 0.3223 0.5989 0.0575
O 0.3767 0.0920 0.5280
O 0.4816 0.5195 0.6939
O 0.5677 0.0989 0.0348
O 0.8624 0.3814 0.3501
O 0.9479 0.9630 0.6951

Peak list (8 most intense, 10 to 80 degrees two-theta, in order of falling intensity)
two_theta  I_rel
29.65  100
28.44  84
31.78  81
34.28  70
14.62  45
23.53  38
36.94  36
44.92  32

---

> Which formula does entry 5 have?

MgCu2O4

---

> Number 4 is which compound?

MgCu2O4

---

> What is the formula in the third record?

Mg7Cu17O24